The following is a computed powder XRD pattern of Pr2Ho3Er8. It was derived from a crystal structure in Alexandria, relaxed with GGA-PBE, using Cu Kα (weighted mean of Kα1 and Kα2).

Principal peaks in the range 10° ≤ 2θ ≤ 80°, sorted by position:
2theta  Rel. int.  hkl
25.02  16  2 0 0
29.41  27  1 1 -3
30.50  28  0 1 3
32.66  36  0 2 0
33.52  100  2 1 1
58.83  20  2 3 1

Atomic structure:
Unit cell a=7.5756 b=5.4844 c=11.0701 alpha=90.00 beta=109.97 gamma=90.00
Space group P2/m (No. 10)
Inequivalent atoms, fractional coordinates:
Pr: 0.2403 0.0000 0.4802 x2
Ho: 0.0000 0.0000 0.0000 x1
Ho: 0.2867 0.5000 0.9999 x2
Er: 0.1267 0.5000 0.2537 x2
Er: 0.1802 0.0000 0.7872 x2
Er: 0.3406 0.5000 0.6804 x2
Er: 0.3925 0.0000 0.2129 x2

=====

The following is a computed powder XRD pattern of Pr8HoEr2. It was derived from a crystal structure in Alexandria, relaxed with GGA-PBE, using Cu Kα (weighted mean of Kα1 and Kα2).

Principal peaks in the range 10° ≤ 2θ ≤ 80°, sorted by position:
2theta  Rel. int.  hkl
30.78  100  0 4 1
30.93  86  3 1 1
32.22  44  3 3 0
32.47  45  0 0 2
46.40  32  3 3 2
61.82  27  6 4 1

Atomic structure:
Unit cell a=10.5171 b=13.6677 c=5.5143 alpha=90.00 beta=90.15 gamma=90.00
Space group C2/m (No. 12)
Inequivalent atoms, fractional coordinates:
Pr: 0.0000 0.2471 0.0000 x4
Pr: 0.1653 0.3653 0.5004 x8
Pr: 0.1656 0.0000 0.0004 x4
Ho: 0.0000 0.5000 0.0000 x2
Er: 0.0000 0.1189 0.5000 x4

=====

The following is a computed powder XRD pattern of Pr2Ho8Er3. It was derived from a crystal structure in Alexandria, relaxed with GGA-PBE, using Cu Kα (weighted mean of Kα1 and Kα2).

Principal peaks in the range 10° ≤ 2θ ≤ 80°, sorted by position:
2theta  Rel. int.  hkl
24.99  16  2 2 0
29.36  27  1 5 1
30.45  29  0 6 1
32.58  36  0 0 2
33.47  100  2 4 1
58.70  20  2 4 3

Atomic structure:
Unit cell a=7.5857 b=20.8314 c=5.4972 alpha=90.00 beta=90.00 gamma=90.00
Space group Cmmm (No. 65)
Inequivalent atoms, fractional coordinates:
Pr: 0.0000 0.2402 0.0000 x4
Ho: 0.0000 0.1268 0.5000 x4
Ho: 0.0000 0.3403 0.5000 x4
Ho: 0.2133 0.3943 0.0000 x8
Er: 0.0000 0.0000 0.0000 x2
Er: 0.2138 0.5000 0.5000 x4

=====

The following is a computed powder XRD pattern of Pr5Ho6Er. It was derived from a crystal structure in Alexandria, relaxed with GGA-PBE, using Cu Kα (weighted mean of Kα1 and Kα2).

Principal peaks in the range 10° ≤ 2θ ≤ 80°, sorted by position:
2theta  Rel. int.  hkl
30.40  100  1 2 0
35.04  34  1 2 -3
35.65  16  2 0 2
50.85  24  1 2 3
60.02  18  2 4 -3
63.25  12  2 4 0

Atomic structure:
Unit cell a=6.2004 b=7.2421 c=9.5399 alpha=112.24 beta=90.81 gamma=90.05
Space group P-1 (No. 2)
Inequivalent atoms, fractional coordinates:
Pr: 0.0000 0.0000 0.0000 x1
Pr: 0.3304 0.3349 0.6696 x2
Pr: 0.3347 0.8329 0.6659 x2
Ho: 0.1671 0.4162 0.3309 x2
Ho: 0.1671 0.9148 0.3309 x2
Ho: 0.5002 0.2516 0.0001 x2
Er: 0.0000 0.5000 0.0000 x1

=====

The following is a computed powder XRD pattern of Pr2Ho4Er5. It was derived from a crystal structure in Alexandria, relaxed with GGA-PBE, using Cu Kα (weighted mean of Kα1 and Kα2).

Principal peaks in the range 10° ≤ 2θ ≤ 80°, sorted by position:
2theta  Rel. int.  hkl
30.85  100  0 3 1
35.77  51  1 2 3
51.45  6  2 0 1
51.49  30  1 4 0
61.24  43  2 3 2
64.29  9  2 -2 4

Atomic structure:
Unit cell a=3.5520 b=8.6941 c=11.7671 alpha=75.74 beta=81.35 gamma=89.96
Space group P-1 (No. 2)
Inequivalent atoms, fractional coordinates:
Pr: 0.0916 0.2286 0.3172 x2
Ho: 0.1822 0.9536 0.1353 x2
Ho: 0.4533 0.1398 0.5937 x2
Er: 0.0000 0.5000 0.5000 x1
Er: 0.2713 0.6815 0.9570 x2
Er: 0.3630 0.4069 0.7738 x2

=====

The following is a computed powder XRD pattern of Pr8Ho3Er. It was derived from a crystal structure in Alexandria, relaxed with GGA-PBE, using Cu Kα (weighted mean of Kα1 and Kα2).

Principal peaks in the range 10° ≤ 2θ ≤ 80°, sorted by position:
2theta  Rel. int.  hkl
29.62  60  0 4 0
31.64  100  0 2 3
42.38  22  2 4 1
53.81  34  0 6 3
53.95  10  4 2 -1
57.54  14  0 0 6

Atomic structure:
Unit cell a=7.1015 b=12.0720 c=9.9234 alpha=90.00 beta=104.24 gamma=90.00
Space group C2/m (No. 12)
Inequivalent atoms, fractional coordinates:
Pr: 0.0683 0.2495 0.3342 x8
Pr: 0.1823 0.0000 0.1655 x4
Pr: 0.1822 0.5000 0.1664 x4
Ho: 0.0000 0.5000 0.5000 x2
Ho: 0.2500 0.2500 0.0000 x4
Er: 0.0000 0.0000 0.5000 x2

=====

The following is a computed powder XRD pattern of PrHoEr6. It was derived from a crystal structure in Alexandria, relaxed with GGA-PBE, using Cu Kα (weighted mean of Kα1 and Kα2).

Principal peaks in the range 10° ≤ 2θ ≤ 80°, sorted by position:
2theta  Rel. int.  hkl
30.04  82  0 0 2
31.01  50  0 2 0
31.50  45  2 0 -2
31.60  100  0 2 -2
31.87  31  2 1 -2
38.35  29  -2 1 2

Atomic structure:
Unit cell a=6.4946 b=6.5202 c=7.4372 alpha=114.84 beta=115.26 gamma=90.24
Space group P-1 (No. 2)
Inequivalent atoms, fractional coordinates:
Pr: 0.0000 0.0000 0.0000 x1
Ho: 0.5000 0.0000 0.0000 x1
Er: 0.2357 0.5607 0.4715 x2
Er: 0.2525 0.5011 0.9989 x2
Er: 0.2682 0.0906 0.5349 x2

=====

The following is a computed powder XRD pattern of Pr4Ho2Er. It was derived from a crystal structure in Alexandria, relaxed with GGA-PBE, using Cu Kα (weighted mean of Kα1 and Kα2).

Principal peaks in the range 10° ≤ 2θ ≤ 80°, sorted by position:
2theta  Rel. int.  hkl
30.00  100  1 7 1
30.53  30  4 2 0
31.28  64  2 0 2
31.95  32  3 5 1
32.15  23  2 2 2
36.80  27  3 7 1

Atomic structure:
Unit cell a=12.0637 b=24.4256 c=6.4963 alpha=90.00 beta=90.00 gamma=90.00
Space group Fdd2 (No. 43)
Inequivalent atoms, fractional coordinates:
Pr: 0.0518 0.0701 0.0000 x16
Pr: 0.0694 0.1438 0.5311 x16
Ho: 0.0240 0.2161 0.0543 x16
Er: 0.0000 0.0000 0.4967 x8

=====

The following is a computed powder XRD pattern of Pr4HoEr10. It was derived from a crystal structure in Alexandria, relaxed with GGA-PBE, using Cu Kα (weighted mean of Kα1 and Kα2).

Principal peaks in the range 10° ≤ 2θ ≤ 80°, sorted by position:
2theta  Rel. int.  hkl
27.47  25  2 0 2
30.77  27  3 2 1
31.81  100  4 0 0
33.80  36  3 3 0
40.90  34  3 3 2
45.61  19  0 0 4

Atomic structure:
Unit cell a=11.2539 b=11.2539 c=7.9526 alpha=90.00 beta=90.00 gamma=90.00
Space group I4/mmm (No. 139)
Inequivalent atoms, fractional coordinates:
Pr: 0.2271 0.2271 0.0000 x8
Ho: 0.0000 0.0000 0.0000 x2
Er: 0.0000 0.2078 0.2941 x16
Er: 0.0000 0.5000 0.2500 x4

=====

The following is a computed powder XRD pattern of Pr3Ho4Er3. It was derived from a crystal structure in Alexandria, relaxed with GGA-PBE, using Cu Kα (weighted mean of Kα1 and Kα2).

Principal peaks in the range 10° ≤ 2θ ≤ 80°, sorted by position:
2theta  Rel. int.  hkl
29.86  33  0 2 4
29.99  33  0 4 2
30.75  32  1 2 2
32.21  100  1 1 3
49.39  12  2 0 0
58.83  19  2 4 2

Atomic structure:
Unit cell a=3.6903 b=13.3041 c=13.4040 alpha=90.00 beta=90.00 gamma=90.00
Space group Amm2 (No. 38)
Inequivalent atoms, fractional coordinates:
Pr: 0.0000 0.0000 0.0000 x2
Pr: 0.0000 0.1741 0.6721 x4
Ho: 0.5000 0.0000 0.5453 x2
Ho: 0.5000 0.0000 0.7985 x2
Ho: 0.5000 0.1243 0.1765 x4
Er: 0.0000 0.0000 0.3469 x2
Er: 0.5000 0.2449 0.4205 x4

=====

The following is a computed powder XRD pattern of Pr5Ho6Er2. It was derived from a crystal structure in Alexandria, relaxed with GGA-PBE, using Cu Kα (weighted mean of Kα1 and Kα2).

Principal peaks in the range 10° ≤ 2θ ≤ 80°, sorted by position:
2theta  Rel. int.  hkl
31.00  62  4 1 0
31.21  53  1 4 1
31.31  60  1 7 0
31.94  100  2 3 1
34.02  44  2 4 1
36.43  45  3 3 1

Atomic structure:
Unit cell a=11.6546 b=20.6291 c=3.6089 alpha=90.00 beta=90.00 gamma=90.00
Space group Pbam (No. 55)
Inequivalent atoms, fractional coordinates:
Pr: 0.0000 0.0000 0.0000 x2
Pr: 0.0829 0.2724 0.0000 x4
Pr: 0.1976 0.5511 0.0000 x4
Ho: 0.0634 0.4186 0.5000 x4
Ho: 0.0810 0.1317 0.5000 x4
Ho: 0.1744 0.8606 0.0000 x4
Er: 0.1714 0.7107 0.5000 x4

=====

The following is a computed powder XRD pattern of Pr5HoEr5. It was derived from a crystal structure in Alexandria, relaxed with GGA-PBE, using Cu Kα (weighted mean of Kα1 and Kα2).

Principal peaks in the range 10° ≤ 2θ ≤ 80°, sorted by position:
2theta  Rel. int.  hkl
27.17  21  4 0 -2
29.79  75  0 2 0
30.39  31  6 0 0
33.12  100  1 1 2
43.08  24  6 2 0
55.04  24  1 3 2

Atomic structure:
Unit cell a=18.9869 b=5.9966 c=7.0708 alpha=90.00 beta=111.66 gamma=90.00
Space group C2/m (No. 12)
Inequivalent atoms, fractional coordinates:
Pr: 0.0000 0.0000 0.0000 x2
Pr: 0.1755 0.5000 0.4204 x4
Pr: 0.1757 0.5000 0.9322 x4
Ho: 0.0000 0.5000 0.0000 x2
Er: 0.0000 0.5000 0.5000 x2
Er: 0.1211 0.0000 0.6229 x4
Er: 0.1685 0.0000 0.1700 x4

=====

The following is a computed powder XRD pattern of PrHo2Er. It was derived from a crystal structure in Alexandria, relaxed with GGA-PBE, using Cu Kα (weighted mean of Kα1 and Kα2).

Principal peaks in the range 10° ≤ 2θ ≤ 80°, sorted by position:
2theta  Rel. int.  hkl
29.81  46  0 1 1
31.13  34  0 0 4
32.79  100  0 1 2
37.28  26  1 0 3
50.95  26  1 1 0
60.92  31  1 1 4

Atomic structure:
Unit cell a=3.5847 b=3.5847 c=11.4924 alpha=90.00 beta=90.00 gamma=120.00
Space group P-3m1 (No. 164)
Inequivalent atoms, fractional coordinates:
Pr: 0.0000 0.0000 0.0000 x1
Ho: 0.3333 0.6667 0.7453 x2
Er: 0.0000 0.0000 0.5000 x1